Record 1
This entry pairs a crystal structure of SmTm2ScSb4 with its theoretical powder diffraction line list. Radiation: CuKα. Structure: a crystal structure in Alexandria, relaxed with GGA-PBE.
Peak positions follow from Bragg's law for the DFT cell and can differ from measured ones.

Peak list (10 most intense, 10 to 80 degrees two-theta, in order of rising 2θ)
2theta, I (rel.)
16.2, 6
29.1, 89
29.2, 44
41.7, 100
51.7, 35
60.3, 11
68.4, 30
68.6, 15
76.0, 22
76.2, 11

Cell and atoms:
a b c (Å): 7.497 7.497 7.497
angles (deg): 131.68 131.68 70.73
Sites, in units of the cell vectors:
Sm (0.000, 0.000, 0.000)
Tm (0.250, 0.750, 0.500)
Tm (0.750, 0.250, 0.500)
Sc (0.500, 0.500, 0.000)
Sb (0.000, 0.500, 0.500)
Sb (0.258, 0.258, 0.000)
Sb (0.500, 0.000, 0.500)
Sb (0.742, 0.742, 0.000)

***

Record 2
This entry pairs a crystal structure of NaIn6Sn3 with its theoretical powder diffraction line list. Radiation: CuKα. Structure: a crystal structure in Alexandria, relaxed with GGA-PBE.
Peak positions follow from Bragg's law for the DFT cell and can differ from measured ones.

Peak list (10 most intense, 10 to 80 degrees two-theta, in order of rising 2θ)
2theta, I (rel.)
18.9, 10
32.3, 21
33.6, 41
34.4, 100
34.8, 33
37.1, 16
48.2, 13
57.2, 10
62.2, 18
66.0, 11

Cell and atoms:
a b c (Å): 5.152 11.579 10.978
angles (deg): 90.00 117.91 90.00
Sites, in units of the cell vectors:
Na (0.000, 0.000, 0.000)
Na (0.000, 0.500, 0.500)
In (0.045, 0.183, 0.545)
In (0.045, 0.317, 0.045)
In (0.251, 0.683, 0.750)
In (0.251, 0.817, 0.250)
In (0.456, 0.176, 0.957)
In (0.456, 0.324, 0.457)
In (0.544, 0.676, 0.543)
In (0.544, 0.824, 0.043)
In (0.749, 0.183, 0.750)
In (0.749, 0.317, 0.250)
In (0.955, 0.683, 0.955)
In (0.955, 0.817, 0.455)
Sn (0.237, 0.537, 0.237)
Sn (0.237, 0.963, 0.737)
Sn (0.500, 0.000, 0.500)
Sn (0.500, 0.500, 0.000)
Sn (0.763, 0.037, 0.263)
Sn (0.763, 0.463, 0.763)

***

Record 3
This entry pairs a crystal structure of RbTmPbBr6 with its theoretical powder diffraction line list. Radiation: CuKα. Structure: a crystal structure in Alexandria, relaxed with GGA-PBE.
Peak positions follow from Bragg's law for the DFT cell and can differ from measured ones.

Peak list (10 most intense, 10 to 80 degrees two-theta, in order of rising 2θ)
2theta, I (rel.)
11.8, 60
13.4, 24
17.9, 81
26.2, 84
29.6, 18
33.5, 100
38.0, 33
41.0, 44
43.3, 29
54.0, 22

Cell and atoms:
a b c (Å): 7.628 7.628 7.487
angles (deg): 90.00 90.00 120.00
Sites, in units of the cell vectors:
Rb (0.000, 0.000, 0.000)
Tm (0.667, 0.333, 0.500)
Pb (0.333, 0.667, 0.500)
Br (0.383, 0.027, 0.718)
Br (0.383, 0.356, 0.282)
Br (0.644, 0.027, 0.282)
Br (0.644, 0.617, 0.718)
Br (0.973, 0.356, 0.718)
Br (0.973, 0.617, 0.282)

***

Record 4
This entry pairs a crystal structure of K2Be2BiO6 with its theoretical powder diffraction line list. Radiation: CuKα. Structure: a crystal structure in Alexandria, relaxed with GGA-PBE.
Peak positions follow from Bragg's law for the DFT cell and can differ from measured ones.

Peak list (10 most intense, 10 to 80 degrees two-theta, in order of rising 2θ)
2theta, I (rel.)
13.6, 42
18.4, 43
23.0, 100
32.2, 29
33.2, 42
35.1, 16
39.9, 28
47.0, 20
52.2, 24
53.6, 17

Cell and atoms:
a b c (Å): 5.560 5.560 6.506
angles (deg): 90.00 90.00 120.00
Sites, in units of the cell vectors:
K (0.333, 0.667, 0.343)
K (0.667, 0.333, 0.657)
Be (0.333, 0.667, 0.831)
Be (0.667, 0.333, 0.169)
Bi (0.000, 0.000, 0.000)
O (0.174, 0.351, 0.802)
O (0.177, 0.826, 0.802)
O (0.351, 0.177, 0.198)
O (0.649, 0.823, 0.802)
O (0.823, 0.174, 0.198)
O (0.826, 0.649, 0.198)

***

Record 5
This entry pairs a crystal structure of Rb3PuCd2Cl9 with its theoretical powder diffraction line list. Radiation: CuKα. Structure: a crystal structure in Alexandria, relaxed with GGA-PBE.
Peak positions follow from Bragg's law for the DFT cell and can differ from measured ones.

Peak list (10 most intense, 10 to 80 degrees two-theta, in order of rising 2θ)
2theta, I (rel.)
16.3, 64
23.1, 86
23.2, 83
33.0, 100
40.7, 40
40.8, 19
47.1, 31
47.5, 34
53.4, 18
64.4, 21

Cell and atoms:
a b c (Å): 7.655 7.655 9.489
angles (deg): 90.00 90.00 120.00
Sites, in units of the cell vectors:
Rb (0.000, 0.000, 0.000)
Rb (0.333, 0.667, 0.703)
Rb (0.667, 0.333, 0.297)
Pu (0.000, 0.000, 0.500)
Cd (0.333, 0.667, 0.159)
Cd (0.667, 0.333, 0.841)
Cl (0.000, 0.500, 0.000)
Cl (0.168, 0.336, 0.330)
Cl (0.168, 0.832, 0.330)
Cl (0.336, 0.168, 0.670)
Cl (0.500, 0.000, 0.000)
Cl (0.500, 0.500, 0.000)
Cl (0.664, 0.832, 0.330)
Cl (0.832, 0.168, 0.670)
Cl (0.832, 0.664, 0.670)

***

Record 6
This entry pairs a crystal structure of Th3TlCd2 with its theoretical powder diffraction line list. Radiation: CuKα. Structure: a crystal structure in Alexandria, relaxed with GGA-PBE.
Peak positions follow from Bragg's law for the DFT cell and can differ from measured ones.

Peak list (10 most intense, 10 to 80 degrees two-theta, in order of rising 2θ)
2theta, I (rel.)
18.8, 4
25.8, 4
32.1, 100
36.8, 35
38.1, 16
53.1, 12
54.0, 23
63.4, 29
65.1, 13
67.2, 12

Cell and atoms:
a b c (Å): 3.450 3.450 14.188
angles (deg): 90.00 90.00 90.00
Sites, in units of the cell vectors:
Th (0.000, 0.000, 0.000)
Th (0.000, 0.000, 0.331)
Th (0.000, 0.000, 0.669)
Tl (0.500, 0.500, 0.500)
Cd (0.500, 0.500, 0.166)
Cd (0.500, 0.500, 0.834)

***

Record 7
This entry pairs a crystal structure of FeMoPd5 with its theoretical powder diffraction line list. Radiation: CuKα. Structure: a crystal structure in Alexandria, relaxed with GGA-PBE.
Peak positions follow from Bragg's law for the DFT cell and can differ from measured ones.

Peak list (10 most intense, 10 to 80 degrees two-theta, in order of rising 2θ)
2theta, I (rel.)
21.4, 24
26.3, 54
34.1, 67
39.5, 100
40.8, 95
43.6, 57
43.7, 28
50.6, 28
51.2, 24
51.6, 35

Cell and atoms:
a b c (Å): 5.520 5.520 5.520
angles (deg): 124.32 104.16 101.04
Sites, in units of the cell vectors:
Fe (0.000, 0.000, 0.000)
Mo (0.017, 0.517, 0.500)
Pd (0.151, 0.339, 0.812)
Pd (0.353, 0.853, 0.500)
Pd (0.527, 0.339, 0.188)
Pd (0.677, 0.434, 0.757)
Pd (0.677, 0.920, 0.243)